# 1
Calculated X-ray diffraction stick pattern of SmGa4Pb for Cu Ka, from a crystal structure in Alexandria, relaxed with PBE.
Kinematic intensities with the Lorentz-polarization factor, no thermal factor.

The 6 most intense peaks (2θ = 10–90°), sorted by position:
Position (°2θ), intensity
21.6, 29
31.8, 54
34.4, 71
36.4, 100
38.7, 41
58.3, 31

```
SmGa4Pb
1.0
2.816 1.626 5.137
-2.816 1.626 5.137
0.000 -3.252 5.137
Sm Ga Pb
1 4 1
Direct
0.000 0.000 0.000
0.003 0.003 0.501
0.003 0.501 0.003
0.501 0.003 0.003
0.602 0.602 0.602
0.372 0.372 0.372
```

***

# 2
Calculated X-ray diffraction stick pattern of RbCdPS4 for Cu Ka, from a crystal structure in Alexandria, relaxed with PBE.
Kinematic intensities with the Lorentz-polarization factor, no thermal factor.

The 6 most intense peaks (2θ = 10–90°), sorted by position:
Position (°2θ), intensity
10.2, 89
19.6, 83
25.6, 89
31.5, 100
33.0, 96
33.7, 96

```
RbCdPS4
1.0
6.214 0.000 0.000
0.000 6.959 0.000
-2.651 0.000 8.704
Rb Cd P S
2 2 2 8
Direct
0.241 0.250 0.429
0.759 0.750 0.571
0.305 0.250 0.978
0.695 0.750 0.022
0.304 0.750 0.188
0.696 0.250 0.812
0.076 0.750 0.972
0.168 0.750 0.363
0.475 0.018 0.797
0.475 0.482 0.797
0.525 0.518 0.203
0.525 0.982 0.203
0.832 0.250 0.637
0.924 0.250 0.028
```

***

# 3
Calculated X-ray diffraction stick pattern of NbV4S8 for Cu Ka, from a crystal structure in Alexandria, relaxed with PBE.
Kinematic intensities with the Lorentz-polarization factor, no thermal factor.

The 6 most intense peaks (2θ = 10–90°), sorted by position:
Position (°2θ), intensity
18.1, 64
25.7, 45
30.2, 100
36.6, 67
48.2, 76
52.8, 93

```
NbV4S8
1.0
0.000 4.906 4.906
4.906 0.000 4.906
4.906 4.906 0.000
Nb V S
1 4 8
Direct
0.000 0.000 0.000
0.196 0.601 0.601
0.601 0.196 0.601
0.601 0.601 0.196
0.601 0.601 0.601
0.371 0.371 0.371
0.371 0.371 0.886
0.371 0.886 0.371
0.412 0.863 0.863
0.863 0.412 0.863
0.863 0.863 0.412
0.863 0.863 0.863
0.886 0.371 0.371
```

***

# 4
Calculated X-ray diffraction stick pattern of Pr2Pa2S7 for Cu Ka, from a crystal structure in Alexandria, relaxed with PBE.
Kinematic intensities with the Lorentz-polarization factor, no thermal factor.

The 6 most intense peaks (2θ = 10–90°), sorted by position:
Position (°2θ), intensity
23.3, 100
27.1, 16
38.4, 45
38.7, 24
45.2, 16
45.6, 34

```
Pr2Pa2S7
1.0
4.658 0.000 0.000
0.000 4.658 0.000
0.000 0.000 13.342
Pr Pa S
2 2 7
Direct
0.000 0.500 0.141
0.500 0.000 0.859
0.000 0.500 0.621
0.500 0.000 0.379
0.000 0.000 0.250
0.000 0.000 0.500
0.000 0.000 0.750
0.500 0.500 0.000
0.500 0.500 0.265
0.500 0.500 0.500
0.500 0.500 0.735
```

***

# 5
Calculated X-ray diffraction stick pattern of AlTlHgI4 for Cu Ka, from a crystal structure in Alexandria, relaxed with PBE.
Kinematic intensities with the Lorentz-polarization factor, no thermal factor.

The 6 most intense peaks (2θ = 10–90°), sorted by position:
Position (°2θ), intensity
22.8, 29
25.8, 51
26.0, 100
29.2, 30
31.2, 30
36.9, 79

```
AlTlHgI4
1.0
-4.387 5.489 6.918
4.387 -5.489 6.918
4.387 5.489 -6.918
Al Tl Hg I
2 2 2 8
Direct
0.389 0.139 0.250
0.611 0.861 0.750
0.000 0.500 0.500
0.500 0.500 0.000
0.000 0.000 0.500
0.000 0.500 0.000
0.273 0.257 0.484
0.273 0.789 0.016
0.285 0.234 0.051
0.318 0.766 0.551
0.682 0.234 0.449
0.715 0.766 0.949
0.727 0.211 0.984
0.727 0.743 0.516
```

***

# 6
Calculated X-ray diffraction stick pattern of Nd2Sm7Y2 for Cu Ka, from a crystal structure in Alexandria, relaxed with PBE.
Kinematic intensities with the Lorentz-polarization factor, no thermal factor.

The 6 most intense peaks (2θ = 10–90°), sorted by position:
Position (°2θ), intensity
29.9, 38
30.4, 100
31.0, 52
31.5, 53
32.5, 40
32.9, 26

```
Nd2Sm7Y2
1.0
4.864 -4.735 0.000
4.864 4.735 0.000
-1.971 0.000 8.265
Nd Sm Y
2 7 2
Direct
0.101 0.101 0.347
0.899 0.899 0.653
0.004 0.599 0.316
0.194 0.194 0.016
0.401 0.996 0.684
0.500 0.500 0.500
0.599 0.004 0.316
0.806 0.806 0.984
0.996 0.401 0.684
0.312 0.688 0.000
0.688 0.312 0.000
```